[1]
Diffraction record for Ba16H3Pd5. The powder diffraction line list is theoretical, not measured: it uses the PBE geometry in Alexandria and Cu Kα (λ = 1.5418 Å).

Largest 12 diffraction maxima, in order of rising 2θ, 2θ = 10–90°:
d [Å], Rel. int.
3.712, 22
3.461, 100
3.438, 16
3.074, 25
3.065, 18
2.370, 14
2.264, 17
2.252, 33
2.095, 14
1.932, 14
1.893, 14
1.436, 14

Atomic structure:
a b c (Å): 9.006 9.006 14.848
angles (deg): 90.35 90.35 60.36
Fractional coordinates of all 24 atoms:
Ba1 0.000 0.000 0.000
Ba2 0.024 0.501 0.490
Ba3 0.169 0.674 0.234
Ba4 0.170 0.170 0.241
Ba5 0.334 0.838 0.737
Ba6 0.343 0.343 0.723
Ba7 0.500 0.500 0.495
Ba8 0.501 0.024 0.490
Ba9 0.513 0.513 0.985
Ba10 0.518 0.992 0.990
Ba11 0.674 0.169 0.234
Ba12 0.675 0.675 0.230
Ba13 0.838 0.334 0.737
Ba14 0.840 0.840 0.730
Ba15 0.992 0.518 0.990
Ba16 0.999 0.999 0.505
H1 0.174 0.667 0.612
H2 0.667 0.174 0.612
H3 0.837 0.837 0.109
Pd1 0.171 0.171 0.614
Pd2 0.339 0.840 0.114
Pd3 0.346 0.346 0.361
Pd4 0.679 0.679 0.854
Pd5 0.840 0.339 0.114

[2]
Diffraction record for BaH11Pd5. The powder diffraction line list is theoretical, not measured: it uses the PBE geometry in Alexandria and Cu Kα (λ = 1.5418 Å).

Largest 12 diffraction maxima, in order of rising 2θ, 2θ = 10–90°:
d [Å], Rel. int.
4.935, 58
4.813, 44
3.629, 79
3.589, 85
3.418, 79
2.919, 100
2.660, 56
2.604, 54
2.578, 44
2.382, 79
2.079, 86
1.833, 43

Atomic structure:
a b c (Å): 5.492 5.704 6.934
angles (deg): 105.48 105.46 104.53
Fractional coordinates of all 17 atoms:
Ba1 0.000 0.000 0.000
H1 0.000 0.000 0.500
H2 0.155 0.696 0.626
H3 0.159 0.480 0.930
H4 0.296 0.863 0.365
H5 0.390 0.403 0.704
H6 0.478 0.172 0.923
H7 0.522 0.828 0.077
H8 0.610 0.597 0.296
H9 0.704 0.137 0.635
H10 0.841 0.520 0.070
H11 0.845 0.304 0.374
Pd1 0.041 0.382 0.650
Pd2 0.369 0.064 0.641
Pd3 0.500 0.500 0.000
Pd4 0.631 0.936 0.359
Pd5 0.959 0.618 0.350

[3]
Diffraction record for Ba3HPd. The powder diffraction line list is theoretical, not measured: it uses the PBE geometry in Alexandria and Cu Kα (λ = 1.5418 Å).

Largest 12 diffraction maxima, in order of rising 2θ, 2θ = 10–90°:
d [Å], Rel. int.
7.674, 14
6.390, 12
3.733, 69
3.652, 21
3.256, 100
3.138, 45
2.321, 20
2.281, 53
2.240, 36
1.960, 15
1.866, 20
1.628, 12

Atomic structure:
a b c (Å): 7.676 4.641 11.211
angles (deg): 90.00 91.10 90.00
Fractional coordinates of all 10 atoms:
Ba1 0.070 0.250 0.153
Ba2 0.264 0.750 0.487
Ba3 0.405 0.250 0.829
Ba4 0.595 0.750 0.171
Ba5 0.736 0.250 0.513
Ba6 0.930 0.750 0.847
H1 0.076 0.250 0.916
H2 0.924 0.750 0.084
Pd1 0.419 0.250 0.321
Pd2 0.581 0.750 0.679

[4]
Diffraction record for Ba8H2Pd. The powder diffraction line list is theoretical, not measured: it uses the PBE geometry in Alexandria and Cu Kα (λ = 1.5418 Å).

Largest 12 diffraction maxima, in order of rising 2θ, 2θ = 10–90°:
d [Å], Rel. int.
7.943, 16
3.856, 19
3.729, 41
3.535, 100
3.478, 73
3.371, 31
2.735, 16
2.691, 14
2.317, 17
2.248, 30
2.127, 21
2.088, 17

Atomic structure:
a b c (Å): 9.002 9.002 7.463
angles (deg): 91.94 91.94 61.96
Fractional coordinates of all 11 atoms:
Ba1 0.136 0.675 0.735
Ba2 0.161 0.161 0.784
Ba3 0.325 0.864 0.265
Ba4 0.338 0.338 0.233
Ba5 0.662 0.662 0.767
Ba6 0.675 0.136 0.735
Ba7 0.839 0.839 0.216
Ba8 0.864 0.325 0.265
H1 0.175 0.175 0.142
H2 0.825 0.825 0.858
Pd1 0.000 0.000 0.500

[5]
Diffraction record for RbBaH6Pd2. The powder diffraction line list is theoretical, not measured: it uses the PBE geometry in Alexandria and Cu Kα (λ = 1.5418 Å).

Largest 12 diffraction maxima, in order of rising 2θ, 2θ = 10–90°:
d [Å], Rel. int.
3.409, 40
3.199, 87
3.148, 44
3.118, 70
3.090, 50
2.903, 100
2.520, 43
2.436, 24
2.290, 37
1.965, 22
1.880, 21
1.676, 26

Atomic structure:
a b c (Å): 6.891 6.891 7.469
angles (deg): 110.01 110.01 96.91
Fractional coordinates of all 20 atoms:
Rb1 0.010 0.990 0.750
Rb2 0.990 0.010 0.250
Ba1 0.385 0.615 0.750
Ba2 0.615 0.385 0.250
H1 0.044 0.623 0.415
H2 0.126 0.422 0.965
H3 0.268 0.414 0.330
H4 0.377 0.956 0.085
H5 0.414 0.268 0.830
H6 0.422 0.126 0.465
H7 0.578 0.874 0.535
H8 0.586 0.732 0.170
H9 0.623 0.044 0.915
H10 0.732 0.586 0.670
H11 0.874 0.578 0.035
H12 0.956 0.377 0.585
Pd1 0.089 0.515 0.202
Pd2 0.485 0.911 0.298
Pd3 0.515 0.089 0.702
Pd4 0.911 0.485 0.798

What did the fourth record say?
Diffraction record for Ba8H2Pd. The powder diffraction line list is theoretical, not measured: it uses the PBE geometry in Alexandria and Cu Kα (λ = 1.5418 Å).

Largest 12 diffraction maxima, in order of rising 2θ, 2θ = 10–90°:
d [Å], Rel. int.
7.943, 16
3.856, 19
3.729, 41
3.535, 100
3.478, 73
3.371, 31
2.735, 16
2.691, 14
2.317, 17
2.248, 30
2.127, 21
2.088, 17

Atomic structure:
a b c (Å): 9.002 9.002 7.463
angles (deg): 91.94 91.94 61.96
Fractional coordinates of all 11 atoms:
Ba1 0.136 0.675 0.735
Ba2 0.161 0.161 0.784
Ba3 0.325 0.864 0.265
Ba4 0.338 0.338 0.233
Ba5 0.662 0.662 0.767
Ba6 0.675 0.136 0.735
Ba7 0.839 0.839 0.216
Ba8 0.864 0.325 0.265
H1 0.175 0.175 0.142
H2 0.825 0.825 0.858
Pd1 0.000 0.000 0.500